Structure and calculated powder diffraction line list of Li5Cr2P5O18 (the PBE+U geometry in the Materials Project; Cu Ka).
Peak positions follow from Bragg's law for the DFT cell and can differ from measured ones.

Largest 12 diffraction maxima, most intense first, 2θ from 10° to 90°:
- 2θ = 27.60°, I = 100
- 2θ = 26.94°, I = 97
- 2θ = 20.11°, I = 95
- 2θ = 28.98°, I = 83
- 2θ = 12.03°, I = 69
- 2θ = 18.67°, I = 65
- 2θ = 28.40°, I = 58
- 2θ = 28.07°, I = 56
- 2θ = 32.01°, I = 49
- 2θ = 25.17°, I = 44
- 2θ = 16.48°, I = 43
- 2θ = 18.43°, I = 42

Cell and atoms:
Cell lengths 6.4825, 9.3122, 10.6290 Å; angles 96.03, 93.04, 91.08 degrees
Positions (direct):
Li  0.0172  0.4380  0.1300
Li  0.1202  0.7154  0.6568
Li  0.1776  0.3689  0.6444
Li  0.3420  0.8723  0.8611
Li  0.4505  0.2241  0.4144
Li  0.5495  0.7759  0.5856
Li  0.6580  0.1277  0.1389
Li  0.8224  0.6311  0.3556
Li  0.8798  0.2846  0.3432
Li  0.9828  0.5620  0.8700
Cr  0.2317  0.8581  0.4016
Cr  0.3311  0.2688  0.9494
Cr  0.6689  0.7312  0.0506
Cr  0.7683  0.1419  0.5984
P  0.1674  0.0822  0.1755
P  0.1685  0.7719  0.1026
P  0.2238  0.5145  0.4015
P  0.2810  0.0816  0.6531
P  0.4824  0.5477  0.8005
P  0.5176  0.4523  0.1995
P  0.7190  0.9184  0.3469
P  0.7762  0.4855  0.5985
P  0.8315  0.2281  0.8974
P  0.8326  0.9178  0.8245
O  0.0153  0.8199  0.8145
O  0.0169  0.3247  0.9546
O  0.0289  0.4841  0.3142
O  0.0789  0.9300  0.1015
O  0.0823  0.1615  0.6165
O  0.2201  0.6650  0.4801
O  0.2278  0.7470  0.2373
O  0.2574  0.9200  0.5972
O  0.2631  0.0488  0.3062
O  0.2704  0.3907  0.4787
O  0.3219  0.0963  0.8001
O  0.3233  0.4324  0.8330
O  0.3324  0.1276  0.0860
O  0.3404  0.4231  0.0962
O  0.3566  0.7560  0.0205
O  0.3861  0.6812  0.7545
O  0.4192  0.5352  0.3186
O  0.4593  0.1521  0.5866
O  0.5407  0.8479  0.4134
O  0.5808  0.4648  0.6814
O  0.6139  0.3188  0.2455
O  0.6434  0.2440  0.9795
O  0.6596  0.5769  0.9038
O  0.6676  0.8724  0.9140
O  0.6767  0.5676  0.1670
O  0.6781  0.9037  0.1999
O  0.7296  0.6093  0.5213
O  0.7369  0.9512  0.6938
O  0.7426  0.0800  0.4028
O  0.7722  0.2530  0.7627
O  0.7799  0.3350  0.5199
O  0.9177  0.8385  0.3835
O  0.9211  0.0700  0.8985
O  0.9711  0.5159  0.6858
O  0.9831  0.6753  0.0454
O  0.9847  0.1801  0.1855

Structure and calculated powder diffraction line list of Mn2NiO6 (the PBE+U geometry in the Materials Project; Cu Ka).
Peak positions follow from Bragg's law for the DFT cell and can differ from measured ones.

Largest 12 diffraction maxima, most intense first, 2θ from 10° to 90°:
- 2θ = 17.72°, I = 100
- 2θ = 45.25°, I = 26
- 2θ = 36.98°, I = 25
- 2θ = 40.26°, I = 19
- 2θ = 59.05°, I = 14
- 2θ = 65.19°, I = 12
- 2θ = 51.63°, I = 11
- 2θ = 35.87°, I = 9
- 2θ = 67.40°, I = 8
- 2θ = 86.99°, I = 7
- 2θ = 76.71°, I = 5
- 2θ = 78.76°, I = 5

Cell and atoms:
Cell lengths 5.0113, 5.0113, 10.0132 Å; angles 90.00, 90.00, 59.95 degrees
Positions (direct):
Mn  0.1666  0.1666  0.0000
Mn  0.3334  0.3334  0.5000
Mn  0.6666  0.6666  0.5000
Mn  0.8334  0.8334  0.0000
Ni  0.0000  0.0000  0.5000
Ni  0.5000  0.5000  0.0000
O  0.0002  0.3274  0.4045
O  0.9998  0.6726  0.5955
O  0.1724  0.8276  0.9045
O  0.1726  0.4998  0.0955
O  0.3274  0.0002  0.5955
O  0.3276  0.6724  0.4045
O  0.4998  0.1726  0.9045
O  0.5002  0.8274  0.0955
O  0.6724  0.3276  0.5955
O  0.6726  0.9998  0.4045
O  0.8274  0.5002  0.9045
O  0.8276  0.1724  0.0955